Calculated X-ray diffraction stick pattern
Compound: V6SiC4
Radiation: λ = 1.5418 Å (Cu Kα)
Structure: DFT lattice parameters and positions (PBE)
No peak broadening, texture or thermal motion is included.

Cell and atoms:
```
V6SiC4
1.0
1.5018 -4.9290 0.0000
1.5018 4.9290 0.0000
0.0000 0.0000 15.3265
V Si C
12 2 8
direct
0.0000 0.0000 0.0000 V
0.0000 0.0000 0.5000 V
0.1421 0.8579 0.7500 V
0.2776 0.7224 0.0801 V
0.2776 0.7224 0.4199 V
0.4612 0.5388 0.6513 V
0.4612 0.5388 0.8487 V
0.5388 0.4612 0.1513 V
0.5388 0.4612 0.3487 V
0.7224 0.2776 0.5801 V
0.7224 0.2776 0.9199 V
0.8579 0.1421 0.2500 V
0.1648 0.8352 0.2500 Si
0.8352 0.1648 0.7500 Si
0.0902 0.9098 0.6232 C
0.0902 0.9098 0.8768 C
0.3615 0.6385 0.5402 C
0.3615 0.6385 0.9598 C
0.6385 0.3615 0.0402 C
0.6385 0.3615 0.4598 C
0.9098 0.0902 0.1232 C
0.9098 0.0902 0.3768 C
```

Main lines, sorted by position (2θ = 10–80°):
Position (°2θ)	d [Å]	I_rel
35.9	2.504	35.1
38.4	2.346	26.0
39.2	2.299	87.2
39.7	2.268	99.7
41.1	2.194	55.4
42.4	2.130	100.0
44.6	2.034	26.6
61.8	1.502	27.3
63.5	1.465	16.2
64.2	1.452	21.4
75.4	1.261	17.9
76.0	1.252	24.7



Calculated X-ray diffraction stick pattern
Compound: V4SiC
Radiation: λ = 1.5418 Å (Cu Kα)
Structure: DFT lattice parameters and positions (PBE)
No peak broadening, texture or thermal motion is included.

Cell and atoms:
```
V4SiC
1.0
3.6116 -3.7785 0.0000
3.6116 3.7785 0.0000
0.0000 0.0000 3.0533
V Si C
4 1 1
direct
0.2347 0.7653 0.0000 V
0.3229 0.3229 0.5000 V
0.6771 0.6771 0.5000 V
0.7653 0.2347 0.0000 V
0.0000 0.0000 0.5000 Si
0.5000 0.5000 0.0000 C
```

Main lines, sorted by position (2θ = 10–80°):
Position (°2θ)	d [Å]	I_rel
24.6	3.612	21.2
34.3	2.611	38.5
37.9	2.375	100.0
38.6	2.332	38.6
39.3	2.294	28.6
48.2	1.889	25.3
49.7	1.834	27.4
60.7	1.527	12.6
61.3	1.512	23.2
63.4	1.468	13.3
71.6	1.318	7.4
74.7	1.271	7.6



Calculated X-ray diffraction stick pattern
Compound: V6SiC
Radiation: λ = 1.5418 Å (Cu Kα)
Structure: DFT lattice parameters and positions (PBE)
No peak broadening, texture or thermal motion is included.

Cell and atoms:
```
V6SiC
1.0
4.5745 0.0000 0.0000
0.0000 4.5745 0.0000
0.0000 0.0000 4.5745
V Si C
6 1 1
direct
0.0000 0.2428 0.5000 V
0.0000 0.7572 0.5000 V
0.2428 0.5000 0.0000 V
0.5000 0.0000 0.2428 V
0.5000 0.0000 0.7572 V
0.7572 0.5000 0.0000 V
0.5000 0.5000 0.5000 Si
0.0000 0.0000 0.0000 C
```

Main lines, sorted by position (2θ = 10–80°):
Position (°2θ)	d [Å]	I_rel
19.4	4.575	1.0
27.6	3.235	17.7
33.9	2.641	1.8
39.4	2.287	17.3
44.3	2.046	100.0
48.8	1.868	34.7
56.9	1.617	2.0
60.7	1.525	0.5
64.4	1.447	3.0
71.4	1.321	11.7
74.8	1.269	18.5
78.2	1.223	15.5



Calculated X-ray diffraction stick pattern
Compound: Si3WC
Radiation: λ = 1.5418 Å (Cu Kα)
Structure: DFT lattice parameters and positions (PBE)
No peak broadening, texture or thermal motion is included.

Cell and atoms:
```
Si3WC
1.0
3.9772 0.0000 0.0000
0.0000 3.9772 0.0000
0.0000 0.0000 3.9772
Si W C
3 1 1
direct
0.0000 0.0000 0.5000 Si
0.0000 0.5000 0.0000 Si
0.5000 0.0000 0.0000 Si
0.5000 0.5000 0.5000 W
0.0000 0.0000 0.0000 C
```

Main lines, sorted by position (2θ = 10–80°):
Position (°2θ)	d [Å]	I_rel
22.4	3.977	86.1
31.8	2.812	100.0
39.2	2.296	93.6
45.6	1.989	52.7
51.4	1.779	41.8
56.7	1.624	39.0
66.5	1.406	34.0
71.1	1.326	20.3
75.6	1.258	16.6



Calculated X-ray diffraction stick pattern
Compound: Y20Si12C
Radiation: λ = 1.5418 Å (Cu Kα)
Structure: DFT lattice parameters and positions (PBE)
No peak broadening, texture or thermal motion is included.

Cell and atoms:
```
Y20Si12C
1.0
6.4095 0.0000 0.0000
0.0000 14.6528 0.0000
-0.0039 0.0000 8.4676
Y Si C
20 12 1
direct
0.0000 0.1623 0.0000 Y
0.0000 0.3285 0.5000 Y
0.0000 0.6715 0.5000 Y
0.0000 0.8377 0.0000 Y
0.2255 0.5000 0.7641 Y
0.2274 0.3818 0.1185 Y
0.2274 0.6182 0.1185 Y
0.2525 0.1212 0.6214 Y
0.2525 0.8788 0.6214 Y
0.2552 0.0000 0.2566 Y
0.5000 0.1716 0.0000 Y
0.5000 0.3380 0.5000 Y
0.5000 0.6620 0.5000 Y
0.5000 0.8284 0.0000 Y
0.7448 0.0000 0.7434 Y
0.7475 0.1212 0.3786 Y
0.7475 0.8788 0.3786 Y
0.7726 0.3818 0.8815 Y
0.7726 0.6182 0.8815 Y
0.7745 0.5000 0.2359 Y
0.2352 0.5000 0.3994 Si
0.2430 0.3002 0.8008 Si
0.2430 0.6998 0.8008 Si
0.2542 0.1972 0.3025 Si
0.2542 0.8028 0.3025 Si
0.2603 0.0000 0.8953 Si
0.7397 0.0000 0.1047 Si
0.7458 0.1972 0.6975 Si
0.7458 0.8028 0.6975 Si
0.7570 0.3002 0.1992 Si
0.7570 0.6998 0.1992 Si
0.7648 0.5000 0.6006 Si
0.0000 0.5000 0.0000 C
```

Main lines, sorted by position (2θ = 10–80°):
Position (°2θ)	d [Å]	I_rel
24.3	3.665	22.4
25.2	3.532	26.0
30.4	2.936	42.5
32.3	2.770	46.5
35.1	2.555	87.5
35.3	2.543	100.0
36.8	2.443	35.6
51.8	1.766	24.8
54.2	1.692	26.2
56.6	1.627	12.8
57.6	1.601	16.3
58.0	1.591	15.9



Calculated X-ray diffraction stick pattern
Compound: SmC2
Radiation: λ = 1.5418 Å (Cu Kα)
Structure: DFT lattice parameters and positions (PBE)
No peak broadening, texture or thermal motion is included.

Cell and atoms:
```
SmC2
1.0
3.2584 -2.1159 0.0000
3.2584 2.1159 0.0000
-1.7932 0.0000 6.6842
Sm C
2 4
direct
0.1933 0.8067 0.7500 Sm
0.8067 0.1933 0.2500 Sm
0.1649 0.4279 0.0528 C
0.4279 0.1649 0.5528 C
0.5721 0.8351 0.4472 C
0.8351 0.5721 0.9472 C
```

Main lines, sorted by position (2θ = 10–80°):
Position (°2θ)	d [Å]	I_rel
25.4	3.512	15.1
26.7	3.342	50.7
26.9	3.312	87.3
28.4	3.147	43.0
30.4	2.939	100.0
33.7	2.661	47.4
44.4	2.042	18.2
44.9	2.018	48.7
47.1	1.930	29.2
51.1	1.788	12.5
51.7	1.769	18.0
53.6	1.709	15.9



Calculated X-ray diffraction stick pattern
Compound: Sm9Sn3C2
Radiation: λ = 1.5418 Å (Cu Kα)
Structure: DFT lattice parameters and positions (PBE)
No peak broadening, texture or thermal motion is included.

Cell and atoms:
```
Sm9Sn3C2
1.0
7.0729 0.0000 0.0000
-3.5364 6.1253 0.0000
0.0000 0.0000 8.6738
Sm Sn C
9 3 2
direct
0.0000 0.5000 0.0000 Sm
0.1693 0.3385 0.6688 Sm
0.1693 0.8307 0.6688 Sm
0.3385 0.1693 0.3312 Sm
0.5000 0.0000 0.0000 Sm
0.5000 0.5000 0.0000 Sm
0.6615 0.8307 0.6688 Sm
0.8307 0.1693 0.3312 Sm
0.8307 0.6615 0.3312 Sm
0.0000 0.0000 0.0000 Sn
0.3333 0.6667 0.3326 Sn
0.6667 0.3333 0.6674 Sn
0.3333 0.6667 0.8259 C
0.6667 0.3333 0.1741 C
```

Main lines, sorted by position (2θ = 10–80°):
Position (°2θ)	d [Å]	I_rel
17.7	5.003	1.5
31.0	2.889	100.0
35.9	2.502	53.2
40.3	2.238	0.5
51.7	1.769	37.7
61.5	1.509	43.1
64.5	1.444	12.9
76.1	1.251	6.0



Calculated X-ray diffraction stick pattern
Compound: TbSm2C2
Radiation: λ = 1.5418 Å (Cu Kα)
Structure: DFT lattice parameters and positions (PBE)
No peak broadening, texture or thermal motion is included.

Cell and atoms:
```
TbSm2C2
1.0
5.8608 -2.6370 0.0000
5.8608 2.6370 0.0000
-2.5890 0.0000 6.9730
Tb Sm C
2 4 4
direct
0.1556 0.1556 0.0957 Tb
0.8444 0.8444 0.9043 Tb
0.1642 0.1642 0.5719 Sm
0.4932 0.4932 0.2671 Sm
0.5068 0.5068 0.7329 Sm
0.8358 0.8358 0.4281 Sm
0.0015 0.0015 0.2359 C
0.3340 0.3340 0.4104 C
0.6660 0.6660 0.5896 C
0.9985 0.9985 0.7641 C
```

Main lines, sorted by position (2θ = 10–80°):
Position (°2θ)	d [Å]	I_rel
29.4	3.038	100.0
29.7	3.008	99.8
33.8	2.653	39.4
34.0	2.637	43.4
35.0	2.567	39.7
48.7	1.870	27.9
49.6	1.839	29.2
58.1	1.588	27.6
58.2	1.585	16.1
59.1	1.562	13.6
59.6	1.550	14.6
61.7	1.504	14.5



Calculated X-ray diffraction stick pattern
Compound: Sm2TcC2
Radiation: λ = 1.5418 Å (Cu Kα)
Structure: DFT lattice parameters and positions (PBE)
No peak broadening, texture or thermal motion is included.

Cell and atoms:
```
Sm2TcC2
1.0
6.6567 0.0000 0.0000
0.0000 5.2605 0.0000
0.0000 0.0000 10.1106
Sm Tc C
8 4 8
direct
0.0288 0.2500 0.2140 Sm
0.1831 0.2500 0.5536 Sm
0.3169 0.7500 0.0536 Sm
0.4712 0.7500 0.7140 Sm
0.5288 0.2500 0.2860 Sm
0.6831 0.2500 0.9464 Sm
0.8169 0.7500 0.4464 Sm
0.9712 0.7500 0.7860 Sm
0.2244 0.2500 0.8605 Tc
0.2756 0.7500 0.3605 Tc
0.7244 0.2500 0.6395 Tc
0.7756 0.7500 0.1395 Tc
0.0411 0.7500 0.2420 C
0.1859 0.7500 0.5405 C
0.3141 0.2500 0.0405 C
0.4589 0.2500 0.7420 C
0.5411 0.7500 0.2580 C
0.6859 0.7500 0.9595 C
0.8141 0.2500 0.4595 C
0.9589 0.2500 0.7580 C
```

Main lines, sorted by position (2θ = 10–80°):
Position (°2θ)	d [Å]	I_rel
29.7	3.007	25.5
31.5	2.838	79.4
31.8	2.813	34.5
32.2	2.780	41.1
33.1	2.710	100.0
34.1	2.630	76.3
34.4	2.610	47.9
38.0	2.366	31.8
47.6	1.911	27.0
52.0	1.759	25.4
58.0	1.590	23.0
59.2	1.560	21.5



Calculated X-ray diffraction stick pattern
Compound: Sm2Tc3C4
Radiation: λ = 1.5418 Å (Cu Kα)
Structure: DFT lattice parameters and positions (PBE)
No peak broadening, texture or thermal motion is included.

Cell and atoms:
```
Sm2Tc3C4
1.0
-1.9738 1.9738 8.8215
1.9738 -1.9738 8.8215
1.9738 1.9738 -8.8215
Sm Tc C
2 3 4
direct
0.0962 0.0962 0.0000 Sm
0.9038 0.9038 0.0000 Sm
0.2500 0.7500 0.5000 Tc
0.5000 0.5000 0.0000 Tc
0.7500 0.2500 0.5000 Tc
0.0000 0.5000 0.5000 C
0.2876 0.2876 0.0000 C
0.5000 0.0000 0.5000 C
0.7124 0.7124 0.0000 C
```

Main lines, sorted by position (2θ = 10–80°):
Position (°2θ)	d [Å]	I_rel
23.1	3.852	29.6
27.2	3.278	25.8
30.4	2.940	23.3
33.7	2.661	80.0
34.1	2.631	100.0
38.2	2.359	46.7
46.0	1.974	50.2
56.1	1.639	16.8
58.5	1.579	41.1
62.3	1.491	34.1
63.2	1.471	16.5
67.1	1.396	15.7



Calculated X-ray diffraction stick pattern
Compound: Sm3TeC
Radiation: λ = 1.5418 Å (Cu Kα)
Structure: DFT lattice parameters and positions (PBE)
No peak broadening, texture or thermal motion is included.

Cell and atoms:
```
Sm3TeC
1.0
5.0856 0.0000 0.0000
0.0000 7.6822 3.7605
0.0000 -7.6822 3.7605
Sm Te C
6 2 2
direct
0.2500 0.0700 0.9300 Sm
0.2500 0.2327 0.4323 Sm
0.2500 0.6237 0.0383 Sm
0.7500 0.0383 0.6237 Sm
0.7500 0.4323 0.2327 Sm
0.7500 0.9300 0.0700 Sm
0.2500 0.7398 0.4651 Te
0.7500 0.4651 0.7398 Te
0.2500 0.9350 0.1165 C
0.7500 0.1165 0.9350 C
```

Main lines, sorted by position (2θ = 10–80°):
Position (°2θ)	d [Å]	I_rel
21.0	4.233	20.1
27.4	3.254	100.0
31.4	2.845	19.8
31.8	2.814	99.2
35.3	2.543	41.2
36.2	2.483	21.2
36.3	2.474	15.5
42.9	2.107	15.2
46.8	1.943	18.6
56.8	1.622	17.4
59.9	1.544	17.7
61.2	1.515	16.5



Calculated X-ray diffraction stick pattern
Compound: Sm3ThC8
Radiation: λ = 1.5418 Å (Cu Kα)
Structure: DFT lattice parameters and positions (PBE)
No peak broadening, texture or thermal motion is included.

Cell and atoms:
```
Sm3ThC8
1.0
-3.5434 3.5434 3.9353
3.5434 -3.5434 3.9353
3.5434 3.5434 -3.9353
Sm Th C
3 1 8
direct
0.0000 0.0000 0.0000 Sm
0.2500 0.7500 0.5000 Sm
0.7500 0.2500 0.5000 Sm
0.5000 0.5000 0.0000 Th
0.0990 0.6303 0.0000 C
0.1039 0.4263 0.0000 C
0.3697 0.3697 0.4687 C
0.4263 0.1039 0.0000 C
0.5737 0.5737 0.6776 C
0.6303 0.0990 0.0000 C
0.8961 0.8961 0.3224 C
0.9010 0.9010 0.5313 C
```

Main lines, sorted by position (2θ = 10–80°):
Position (°2θ)	d [Å]	I_rel
25.1	3.543	58.8
28.8	3.095	100.0
35.8	2.506	33.6
46.1	1.968	7.2
46.6	1.947	59.4
51.6	1.772	10.8
53.3	1.720	20.1
58.2	1.585	13.7
59.8	1.547	12.5
60.2	1.538	12.2
72.1	1.310	15.3
77.3	1.234	14.1



Calculated X-ray diffraction stick pattern
Compound: Sm2TlC2
Radiation: λ = 1.5418 Å (Cu Kα)
Structure: DFT lattice parameters and positions (PBE)
No peak broadening, texture or thermal motion is included.

Cell and atoms:
```
Sm2TlC2
1.0
8.3230 -1.9295 0.0000
8.3230 1.9295 0.0000
-2.1082 0.0000 6.6399
Sm Tl C
4 2 4
direct
0.0032 0.6860 0.8708 Sm
0.3140 0.9968 0.6292 Sm
0.6860 0.0032 0.3708 Sm
0.9968 0.3140 0.1292 Sm
0.4389 0.5611 0.2500 Tl
0.5611 0.4389 0.7500 Tl
0.1436 0.4009 0.4703 C
0.4009 0.1436 0.9703 C
0.5991 0.8564 0.0297 C
0.8564 0.5991 0.5297 C
```

Main lines, sorted by position (2θ = 10–80°):
Position (°2θ)	d [Å]	I_rel
28.2	3.169	16.2
28.6	3.117	73.8
29.4	3.038	100.0
32.2	2.778	58.2
33.9	2.645	60.8
34.8	2.579	36.9
35.8	2.507	20.4
36.5	2.463	20.4
46.1	1.969	20.0
49.2	1.853	17.1
51.2	1.783	15.2
55.1	1.667	14.4